[1]
Mg2VGa3S8: calculated powder diffractogram (Cu Ka), based on a structure optimized by DFT (GGA-PBE).
Peak positions follow from Bragg's law for the DFT cell and can differ from measured ones.

The 6 most intense peaks (2θ from 10° to 80°), most intense first:
(0 1 -1), 2θ = 14.79°, rel. 100; (2 -4 2), 2θ = 49.85°, rel. 59; (0 2 0), 2θ = 34.44°, rel. 42; (2 0 -2), 2θ = 34.55°, rel. 42; (2 -2 2), 2θ = 34.80°, rel. 41; (0 1 1), 2θ = 28.45°, rel. 40

Structure:
```
Mg2VGa3S8
1.0
7.312 0.000 0.000
-3.597 6.371 0.000
-0.052 -4.218 5.985
Mg V Ga S
2 1 3 8
Direct
0.125 0.250 0.375
0.875 0.750 0.625
0.500 0.000 0.000
0.000 0.500 0.000
0.500 0.000 0.500
0.500 0.500 0.000
0.262 0.522 0.240
0.263 0.528 0.784
0.264 0.979 0.234
0.283 0.019 0.763
0.717 0.981 0.237
0.736 0.021 0.766
0.737 0.472 0.216
0.738 0.478 0.760
```

[2]
MgBi4O8: calculated powder diffractogram (Cu Ka), based on a structure optimized by DFT (GGA-PBE).
Peak positions follow from Bragg's law for the DFT cell and can differ from measured ones.

The 6 most intense peaks (2θ from 10° to 80°), most intense first:
(0 1 1), 2θ = 13.81°, rel. 100; (1 2 0), 2θ = 30.85°, rel. 74; (0 1 0), 2θ = 10.43°, rel. 74; (1 1 -1), 2θ = 30.01°, rel. 48; (0 2 -2), 2θ = 28.38°, rel. 43; (0 1 -2), 2θ = 21.49°, rel. 37

Structure:
```
MgBi4O8
1.0
3.436 0.000 0.000
1.699 8.487 0.000
1.667 0.188 9.574
Mg Bi O
1 4 8
Direct
0.000 0.000 0.000
0.090 0.608 0.204
0.304 0.895 0.491
0.716 0.742 0.822
0.758 0.233 0.227
0.095 0.766 0.034
0.141 0.912 0.803
0.147 0.381 0.317
0.420 0.099 0.064
0.479 0.715 0.321
0.695 0.490 0.106
0.782 0.038 0.386
0.824 0.746 0.598
```

[3]
Sc6C2I11: calculated powder diffractogram (Cu Ka), based on a structure optimized by DFT (GGA-PBE).
Peak positions follow from Bragg's law for the DFT cell and can differ from measured ones.

The 6 most intense peaks (2θ from 10° to 80°), most intense first:
(1 2 2), 2θ = 29.64°, rel. 100; (-1 1 4), 2θ = 25.95°, rel. 78; (-3 2 2), 2θ = 30.33°, rel. 46; (1 -3 0), 2θ = 25.53°, rel. 38; (2 1 -2), 2θ = 25.73°, rel. 38; (1 0 6), 2θ = 42.82°, rel. 32

Structure:
```
Sc6C2I11
1.0
9.325 0.000 0.000
-3.662 9.810 0.000
-3.665 -1.601 14.052
Sc C I
12 4 22
Direct
0.064 0.223 0.235
0.110 0.519 0.380
0.124 0.587 0.853
0.131 0.839 0.612
0.323 0.655 0.704
0.357 0.944 0.848
0.643 0.056 0.152
0.677 0.345 0.296
0.869 0.161 0.388
0.876 0.413 0.147
0.890 0.481 0.620
0.936 0.777 0.765
0.068 0.654 0.701
0.186 0.770 0.762
0.814 0.230 0.238
0.932 0.346 0.299
0.110 0.366 0.070
0.113 0.687 0.230
0.117 0.061 0.393
0.118 0.031 0.890
0.126 0.380 0.561
0.352 0.776 0.525
0.361 0.477 0.845
0.366 0.444 0.350
0.370 0.105 0.687
0.379 0.795 0.018
0.382 0.130 0.194
0.618 0.870 0.806
0.621 0.205 0.982
0.630 0.895 0.313
0.634 0.556 0.650
0.639 0.523 0.155
0.648 0.224 0.475
0.874 0.620 0.439
0.882 0.969 0.110
0.883 0.939 0.607
0.887 0.313 0.770
0.890 0.634 0.930
```